The following is a theoretical X-ray powder pattern of Mg4Si7. It was derived from a crystal structure in the Materials Project, relaxed with GGA-PBE, using Cu Kα (weighted mean of Kα1 and Kα2).
Intensities are scaled so that the largest is 100.

Structure:
a b c (Å): 4.401 6.805 13.599
angles (deg): 94.15 91.61 93.17
Fractional positions:
1 Mg 0.000 0.000 0.000
2 Mg 0.004 0.026 0.724
3 Mg 0.015 0.636 0.834
4 Mg 0.025 0.628 0.576
5 Mg 0.428 0.107 0.319
6 Mg 0.469 0.572 0.265
7 Mg 0.541 0.343 0.680
8 Mg 0.990 0.141 0.503
9 Si 0.006 0.782 0.365
10 Si 0.342 0.375 0.946
11 Si 0.423 0.256 0.108
12 Si 0.464 0.951 0.858
13 Si 0.475 0.904 0.134
14 Si 0.482 0.973 0.597
15 Si 0.510 0.417 0.469
16 Si 0.517 0.778 0.448
17 Si 0.537 0.729 0.716
18 Si 0.539 0.716 0.979
19 Si 0.789 0.267 0.871
20 Si 0.939 0.387 0.170
21 Si 0.959 0.404 0.356
22 Si 0.978 0.757 0.186

The 10 most intense peaks (5° ≤ 2θ ≤ 70°), sorted by position:
2θ (°)	Rel. int.
35.30	65
35.53	76
35.80	72
37.49	48
37.66	29
38.48	51
38.95	30
39.93	38
41.00	30
41.10	100

---

The following is a theoretical X-ray powder pattern of Mg4Si7. It was derived from a crystal structure in the Materials Project, relaxed with GGA-PBE, using Cu Kα (weighted mean of Kα1 and Kα2).
Intensities are scaled so that the largest is 100.

Structure:
a b c (Å): 3.915 7.168 14.171
angles (deg): 80.85 89.37 87.12
Fractional positions:
1 Mg 0.000 0.000 0.000
2 Mg 0.004 0.737 0.340
3 Mg 0.006 0.787 0.579
4 Mg 0.469 0.201 0.846
5 Mg 0.500 0.500 0.500
6 Mg 0.531 0.799 0.154
7 Mg 0.994 0.213 0.421
8 Mg 0.996 0.263 0.660
9 Si 0.006 0.437 0.203
10 Si 0.013 0.903 0.815
11 Si 0.084 0.614 0.047
12 Si 0.443 0.253 0.050
13 Si 0.485 0.088 0.291
14 Si 0.494 0.451 0.305
15 Si 0.499 0.891 0.443
16 Si 0.501 0.109 0.557
17 Si 0.506 0.549 0.695
18 Si 0.515 0.912 0.709
19 Si 0.557 0.747 0.950
20 Si 0.916 0.386 0.953
21 Si 0.987 0.097 0.185
22 Si 0.994 0.563 0.797

The 10 most intense peaks (5° ≤ 2θ ≤ 70°), sorted by position:
2θ (°)	Rel. int.
34.77	100
35.72	44
36.38	62
37.84	41
38.15	27
38.53	41
39.67	41
39.79	30
40.04	52
46.45	62

---

The following is a theoretical X-ray powder pattern of Mg4Si7. It was derived from a crystal structure in the Materials Project, relaxed with GGA-PBE, using Cu Kα (weighted mean of Kα1 and Kα2).
Intensities are scaled so that the largest is 100.

Structure:
a b c (Å): 3.997 8.427 12.466
angles (deg): 84.10 84.49 87.25
Fractional positions:
1 Mg 0.000 0.000 0.000
2 Mg 0.001 0.798 0.712
3 Mg 0.055 0.416 0.666
4 Mg 0.457 0.749 0.348
5 Mg 0.475 0.475 0.108
6 Mg 0.549 0.101 0.788
7 Mg 0.618 0.281 0.506
8 Mg 0.992 0.394 0.908
9 Si 0.003 0.555 0.464
10 Si 0.005 0.026 0.428
11 Si 0.007 0.701 0.183
12 Si 0.112 0.109 0.635
13 Si 0.335 0.286 0.312
14 Si 0.441 0.106 0.175
15 Si 0.487 0.212 0.991
16 Si 0.488 0.933 0.532
17 Si 0.494 0.772 0.890
18 Si 0.508 0.557 0.771
19 Si 0.530 0.648 0.578
20 Si 0.835 0.458 0.295
21 Si 0.938 0.962 0.241
22 Si 0.978 0.678 0.996

The 10 most intense peaks (5° ≤ 2θ ≤ 70°), sorted by position:
2θ (°)	Rel. int.
32.46	45
34.88	43
35.14	66
35.58	100
38.37	39
40.56	80
40.66	35
41.41	29
44.28	29
45.62	81